1.
Simulated PXRD pattern
Compound: Pu2PaAu6
Radiation: Cu Ka
Structure: a structure optimized by DFT (GGA-PBE)

Structural model:
```
Pu2PaAu6
1.0
4.2341 2.4446 3.0813
-4.2341 2.4446 3.0813
0.0000 -4.8892 3.0813
Pu Pa Au
2 1 6
Direct
0.1696 0.1696 0.1696
0.8304 0.8304 0.8304
0.5000 0.5000 0.5000
0.0000 0.3334 0.6666
0.0000 0.6666 0.3334
0.3334 0.0000 0.6666
0.3334 0.6666 0.0000
0.6666 0.0000 0.3334
0.6666 0.3334 0.0000
```

Top 10 peaks for 10 to 90 degrees two-theta, low angle first:
2θ (°)  intensity
36.05  985
36.77  1000
47.48  68
52.44  345
60.05  82
65.75  354
66.22  185
72.52  285
78.21  118
89.26  167



2.
Simulated PXRD pattern
Compound: V14ReMo
Radiation: Cu Ka
Structure: a structure optimized by DFT (GGA-PBE)

Structural model:
```
V14ReMo
1.0
3.0298 -4.2515 0.0000
3.0298 4.2515 0.0000
0.0000 0.0000 8.5153
V Re Mo
14 1 1
Direct
0.0000 0.0000 0.0000
0.0000 0.5000 0.0000
0.0000 0.5000 0.5000
0.2492 0.7508 0.2414
0.2492 0.7508 0.7586
0.2496 0.2496 0.2488
0.2496 0.2496 0.7512
0.5000 0.0000 0.0000
0.5000 0.0000 0.5000
0.5000 0.5000 0.0000
0.7504 0.7504 0.2488
0.7504 0.7504 0.7512
0.7508 0.2492 0.2414
0.7508 0.2492 0.7586
0.0000 0.0000 0.5000
0.5000 0.5000 0.5000
```

Top 10 peaks for 10 to 90 degrees two-theta, low angle first:
2θ (°)  intensity
10.39  202
20.86  151
23.39  89
37.97  54
42.34  1000
42.50  493
61.18  78
61.66  150
77.33  150
77.65  293



3.
Simulated PXRD pattern
Compound: K2NaHg7
Radiation: Cu Ka
Structure: a structure optimized by DFT (GGA-PBE)

Structural model:
```
K2NaHg7
1.0
4.8838 0.0000 0.0000
0.0000 4.8838 0.0000
0.0000 0.0000 13.4491
K Na Hg
2 1 7
Direct
0.0000 0.5000 0.2321
0.5000 0.0000 0.7679
0.0000 0.0000 0.5000
0.0000 0.0000 0.0000
0.0000 0.5000 0.6427
0.0000 0.5000 0.8626
0.5000 0.0000 0.1374
0.5000 0.0000 0.3573
0.5000 0.5000 0.0000
0.5000 0.5000 0.5000
```

Top 10 peaks for 10 to 90 degrees two-theta, low angle first:
2θ (°)  intensity
13.17  264
19.34  935
27.00  337
29.07  837
36.81  701
37.33  1000
38.20  400
41.91  280
54.09  294
66.64  380



4.
Simulated PXRD pattern
Compound: PmGe3Ru
Radiation: Cu Ka
Structure: a structure optimized by DFT (GGA-PBE)

Structural model:
```
PmGe3Ru
1.0
-2.2029 2.2029 5.0852
2.2029 -2.2029 5.0852
2.2029 2.2029 -5.0852
Pm Ge Ru
1 3 1
Direct
0.0000 0.0000 0.0000
0.2619 0.7619 0.5000
0.4279 0.4279 0.0000
0.7619 0.2619 0.5000
0.6606 0.6606 0.0000
```

Top 10 peaks for 10 to 90 degrees two-theta, low angle first:
2θ (°)  intensity
28.65  256
33.35  655
33.74  1000
40.97  720
46.08  205
49.35  186
53.81  333
59.33  238
62.36  179
70.02  256